For Ac2Tb3Pm7, a structure optimized by DFT (GGA-PBE) gives the computed powder X-ray diffraction pattern in this record (Cu Kα, 1.54184 Å).
No peak broadening, texture or thermal motion is included.

Most intense lines, 10 to 80 degrees two-theta, in order of rising 2θ:
d_spacing, 2theta, I (rel.)
3.100, 28.8, 37
3.000, 29.8, 85
2.988, 29.9, 70
2.946, 30.3, 100
2.723, 32.9, 51
2.665, 33.6, 67
2.449, 36.7, 23
1.864, 48.9, 34
1.824, 50.0, 21
1.791, 51.0, 37
1.578, 58.5, 22
1.558, 59.3, 44

```
Ac2Tb3Pm7
1.0
6.507 0.000 0.000
0.000 3.647 0.000
-2.006 0.000 18.002
Ac Tb Pm
2 3 7
direct
0.059 0.000 0.173 Ac
0.941 0.000 0.827 Ac
0.451 0.500 0.840 Tb
0.500 0.000 0.500 Tb
0.549 0.500 0.160 Tb
0.000 0.500 0.500 Pm
0.231 0.000 0.665 Pm
0.261 0.000 0.998 Pm
0.279 0.500 0.340 Pm
0.721 0.500 0.660 Pm
0.739 0.000 0.002 Pm
0.769 0.000 0.335 Pm
```

For ZnGa2Co2, a structure optimized by DFT (GGA-PBE) gives the computed powder X-ray diffraction pattern in this record (Cu Kα, 1.54184 Å).
No peak broadening, texture or thermal motion is included.

Most intense lines, 10 to 80 degrees two-theta, in order of rising 2θ:
d_spacing, 2theta, I (rel.)
2.437, 36.9, 9
2.179, 41.4, 69
2.146, 42.1, 12
2.049, 44.2, 100
1.723, 53.2, 7
1.706, 53.7, 10
1.624, 56.7, 7
1.568, 58.9, 8
1.541, 60.0, 8
1.427, 65.4, 9
1.371, 68.4, 9
1.218, 78.5, 7

```
ZnGa2Co2
1.0
6.892 0.000 0.000
0.000 6.892 0.000
0.000 0.000 2.742
Zn Ga Co
2 4 4
direct
0.000 0.000 0.000 Zn
0.500 0.500 0.000 Zn
0.139 0.361 0.000 Ga
0.361 0.861 0.000 Ga
0.639 0.139 0.000 Ga
0.861 0.639 0.000 Ga
0.158 0.658 0.500 Co
0.342 0.158 0.500 Co
0.658 0.842 0.500 Co
0.842 0.342 0.500 Co
```

For ZnCdNi, a structure optimized by DFT (GGA-PBE) gives the computed powder X-ray diffraction pattern in this record (Cu Kα, 1.54184 Å).
No peak broadening, texture or thermal motion is included.

Most intense lines, 10 to 80 degrees two-theta, in order of rising 2θ:
d_spacing, 2theta, I (rel.)
6.517, 13.6, 6
3.258, 27.4, 11
2.505, 35.9, 4
2.338, 38.5, 100
2.172, 41.6, 21
1.986, 45.7, 53
1.641, 56.0, 8
1.446, 64.4, 19
1.366, 68.7, 15
1.322, 71.4, 4
1.230, 77.6, 12
1.204, 79.7, 17

```
ZnCdNi
1.0
2.892 0.000 0.000
-1.446 2.505 0.000
0.000 0.000 6.517
Zn Cd Ni
1 1 1
direct
0.000 0.000 0.000 Zn
0.667 0.333 0.386 Cd
0.333 0.667 0.719 Ni
```

For Dy12YSc5, a structure optimized by DFT (GGA-PBE) gives the computed powder X-ray diffraction pattern in this record (Cu Kα, 1.54184 Å).
No peak broadening, texture or thermal motion is included.

Most intense lines, 10 to 80 degrees two-theta, in order of rising 2θ:
d_spacing, 2theta, I (rel.)
8.387, 10.5, 42
4.194, 21.2, 17
2.892, 30.9, 100
2.796, 32.0, 51
2.784, 32.2, 34
2.722, 32.9, 37
2.589, 34.6, 44
2.520, 35.6, 21
2.381, 37.8, 50
1.772, 51.6, 27
1.743, 52.5, 38
1.479, 62.8, 43

```
Dy12YSc5
1.0
3.019 -5.231 0.000
3.019 5.231 0.000
-2.001 0.000 16.774
Dy Y Sc
12 1 5
direct
0.053 0.386 0.161 Dy
0.108 0.108 0.334 Dy
0.219 0.556 0.666 Dy
0.280 0.280 0.839 Dy
0.386 0.053 0.161 Dy
0.444 0.781 0.334 Dy
0.556 0.219 0.666 Dy
0.614 0.947 0.839 Dy
0.720 0.720 0.161 Dy
0.781 0.444 0.334 Dy
0.892 0.892 0.666 Dy
0.947 0.614 0.839 Dy
0.500 0.500 0.500 Y
0.000 0.000 0.000 Sc
0.167 0.833 0.500 Sc
0.333 0.667 0.000 Sc
0.667 0.333 0.000 Sc
0.833 0.167 0.500 Sc
```